1.
# Li4MnVP3O12
Calculated powder X-ray diffraction pattern, a wavelength of 1.5418 Å. Input: the PBE+U geometry in the Materials Project.
No peak broadening, texture or thermal motion is included.

Cell and atoms:
```
data_Li4MnVP3O12
_chemical_formula_sum 'Li8 Mn2 V2 P6 O24'
_cell_length_a 8.4510
_cell_length_b 8.4524
_cell_length_c 9.2727
_cell_angle_alpha 116.79
_cell_angle_beta 90.55
_cell_angle_gamma 119.39
_space_group_name_H-M_alt 'P 1'
_space_group_IT_number 1
_space_group_name_Hall 'P 1'
loop_
_atom_site_label
_atom_site_type_symbol
_atom_site_fract_x
_atom_site_fract_y
_atom_site_fract_z
Li1 Li 0.0000 0.0000 0.0000
Li2 Li 0.0582 0.5304 0.4559
Li3 Li 0.1254 0.3998 0.7378
Li4 Li 0.4464 0.2613 0.4452
Li5 Li 0.5261 0.1433 0.7291
Li6 Li 0.5899 0.6579 0.1802
Li7 Li 0.7293 0.9644 0.4957
Li8 Li 0.8523 0.7025 0.6937
Mn1 Mn 0.1413 0.0231 0.6267
Mn2 Mn 0.9385 0.6196 0.0309
V1 V 0.4383 0.6413 0.5580
V2 V 0.6385 0.0392 0.1521
P1 P 0.0364 0.1394 0.3511
P2 P 0.2523 0.8416 0.8427
P3 P 0.3421 0.8311 0.3434
P4 P 0.5380 0.5354 0.8346
P5 P 0.7344 0.5356 0.3411
P6 P 0.8324 0.1147 0.8440
O1 O 0.0513 0.7636 0.8681
O2 O 0.1884 0.7163 0.1843
O3 O 0.2388 0.6387 0.6948
O4 O 0.2528 0.3203 0.4129
O5 O 0.3023 0.6796 0.4117
O6 O 0.3043 0.0041 0.7891
O7 O 0.3245 0.3670 0.7824
O8 O 0.3624 0.0355 0.4905
O9 O 0.4013 0.9398 0.0059
O10 O 0.5442 0.9059 0.3110
O11 O 0.5825 0.5930 0.6920
O12 O 0.5992 0.7370 0.0066
O13 O 0.6172 0.6398 0.4060
O14 O 0.6291 0.3103 0.3172
O15 O 0.6364 0.9693 0.6992
O16 O 0.6590 0.4492 0.8444
O17 O 0.7549 0.5359 0.1785
O18 O 0.8007 0.1343 0.0129
O19 O 0.9117 0.2197 0.3282
O20 O 0.9274 0.6729 0.4831
O21 O 0.9344 0.3292 0.8532
O22 O 0.9478 0.0106 0.7941
O23 O 0.9891 0.0870 0.4926
O24 O 0.9971 0.9500 0.1829
```

Most intense lines, 2θ from 15° to 90°, by angle:
(1 0 1), 2θ 19.24, rel. 100; (1 1 -2), 2θ 23.71, rel. 57; (1 -2 0), 2θ 23.81, rel. 54; (2 -1 1), 2θ 23.95, rel. 50; (1 1 -3), 2θ 30.91, rel. 44; (2 -1 2), 2θ 31.09, rel. 42


2.
# TiCrO3
Calculated powder X-ray diffraction pattern, a wavelength of 1.5418 Å. Input: the PBE+U geometry in the Materials Project.
No peak broadening, texture or thermal motion is included.

Cell and atoms:
```
data_TiCrO3
_chemical_formula_sum 'Ti4 Cr4 O12'
_cell_length_a 5.3932
_cell_length_b 7.6141
_cell_length_c 5.1180
_cell_angle_alpha 90.00
_cell_angle_beta 90.00
_cell_angle_gamma 90.00
_space_group_name_H-M_alt 'P n m a'
_space_group_IT_number 62
_space_group_name_Hall '-P 2ac 2n'
loop_
_atom_site_label
_atom_site_type_symbol
_atom_site_fract_x
_atom_site_fract_y
_atom_site_fract_z
Ti1 Ti 0.0000 0.0000 0.0000
Cr1 Cr 0.0776 0.2500 0.4891
O1 O 0.0539 0.7500 0.1318
O2 O 0.2053 0.5701 0.6970
```

Most intense lines, 2θ from 15° to 90°, by angle:
(1 1 1), 2θ 26.71, rel. 17; (1 2 1), 2θ 33.72, rel. 100; (0 0 2), 2θ 35.07, rel. 18; (0 4 0), 2θ 47.78, rel. 16; (2 0 2), 2θ 49.08, rel. 22; (1 2 3), 2θ 62.05, rel. 25


3.
# MnZnSiO5
Calculated powder X-ray diffraction pattern, a wavelength of 1.5418 Å. Input: the PBE+U geometry in the Materials Project.
No peak broadening, texture or thermal motion is included.

Cell and atoms:
```
data_MnZnSiO5
_chemical_formula_sum 'Mn4 Zn4 Si4 O20'
_cell_length_a 6.6798
_cell_length_b 8.1921
_cell_length_c 7.0879
_cell_angle_alpha 90.00
_cell_angle_beta 116.09
_cell_angle_gamma 90.00
_space_group_name_H-M_alt 'C 1 2/c 1'
_space_group_IT_number 15
_space_group_name_Hall '-C 2yc'
loop_
_atom_site_label
_atom_site_type_symbol
_atom_site_fract_x
_atom_site_fract_y
_atom_site_fract_z
Mn1 Mn 0.0000 0.0000 0.0000
Zn1 Zn 0.0000 0.3331 0.2500
Si1 Si 0.0000 0.3209 0.7500
O1 O 0.0000 0.0856 0.2500
O2 O 0.0949 0.2089 0.6164
O3 O 0.1860 0.4613 0.9072
```

Most intense lines, 2θ from 15° to 90°, by angle:
(1 1 -2), 2θ 27.54, rel. 100; (2 0 0), 2θ 29.78, rel. 76; (0 2 2), 2θ 35.73, rel. 43; (1 3 0), 2θ 36.14, rel. 54; (3 3 0), 2θ 57.09, rel. 27; (1 3 -4), 2θ 63.40, rel. 21